Entry 1:
Tm2Ga3: calculated X-ray powder pattern (λ = 1.5418 Å (Cu Kα)), based on the GGA-PBE geometry in Alexandria.
Peak positions follow from Bragg's law for the DFT cell and can differ from measured ones.

Structural model:
a = 4.096 Å, b = 25.396 Å, c = 4.135 Å
α = 90.00°, β = 90.00°, γ = 90.00°
Space group Cmcm (No. 63)
Symmetry-distinct sites (fractional):
Tm 0.000 0.073 0.250 (multiplicity 4)
Tm 0.000 0.205 0.750 (multiplicity 4)
Ga 0.000 0.323 0.750 (multiplicity 4)
Ga 0.000 0.380 0.250 (multiplicity 4)
Ga 0.000 0.476 0.250 (multiplicity 4)

Top 6 peaks for 10 to 90 degrees two-theta, in order of rising 2θ:
Position (°2θ)	intensity
25.71	23
32.54	100
32.98	54
41.74	33
43.78	24
55.89	24

---

Entry 2:
AcTb2PmDy5: calculated X-ray powder pattern (λ = 1.5418 Å (Cu Kα)), based on the GGA-PBE geometry in Alexandria.
Peak positions follow from Bragg's law for the DFT cell and can differ from measured ones.

Structural model:
a = 8.914 Å, b = 8.914 Å, c = 15.337 Å
α = 90.00°, β = 90.00°, γ = 90.00°
Space group I4/mcm (No. 140)
Symmetry-distinct sites (fractional):
Ac 0.000 0.000 0.250 (multiplicity 4)
Tb 0.115 0.385 0.000 (multiplicity 8)
Pm 0.000 0.500 0.250 (multiplicity 4)
Dy 0.000 0.000 0.000 (multiplicity 4)
Dy 0.202 0.298 0.372 (multiplicity 16)

Top 6 peaks for 10 to 90 degrees two-theta, in order of rising 2θ:
Position (°2θ)	intensity
28.35	89
30.76	100
31.74	20
42.22	23
51.68	19
56.14	19

---

Entry 3:
Lu3NbO7: calculated X-ray powder pattern (λ = 1.5418 Å (Cu Kα)), based on the GGA-PBE geometry in Alexandria.
Peak positions follow from Bragg's law for the DFT cell and can differ from measured ones.

Structural model:
a = 7.333 Å, b = 14.259 Å, c = 5.260 Å
α = 90.00°, β = 90.00°, γ = 90.00°
Space group Cmme (No. 67)
Symmetry-distinct sites (fractional):
Lu 0.000 0.122 0.029 (multiplicity 8)
Lu 0.250 0.250 0.500 (multiplicity 4)
Nb 0.250 0.000 0.500 (multiplicity 4)
O 0.000 0.014 0.283 (multiplicity 8)
O 0.000 0.250 0.259 (multiplicity 4)
O 0.213 0.124 0.740 (multiplicity 16)

Top 6 peaks for 10 to 90 degrees two-theta, in order of rising 2θ:
Position (°2θ)	intensity
29.70	100
30.29	97
35.11	45
49.74	77
59.35	29
60.36	27

---

Entry 4:
Er6ZnRh2: calculated X-ray powder pattern (λ = 1.5418 Å (Cu Kα)), based on the GGA-PBE geometry in Alexandria.
Peak positions follow from Bragg's law for the DFT cell and can differ from measured ones.

Structural model:
a = 9.244 Å, b = 9.361 Å, c = 10.200 Å
α = 90.00°, β = 90.00°, γ = 90.00°
Space group Immm (No. 71)
Symmetry-distinct sites (fractional):
Er 0.000 0.193 0.241 (multiplicity 8)
Er 0.194 0.500 0.171 (multiplicity 8)
Er 0.220 0.322 0.500 (multiplicity 8)
Zn 0.000 0.000 0.000 (multiplicity 2)
Zn 0.000 0.000 0.500 (multiplicity 2)
Rh 0.000 0.330 0.000 (multiplicity 4)
Rh 0.000 0.500 0.367 (multiplicity 4)

Top 6 peaks for 10 to 90 degrees two-theta, in order of rising 2θ:
Position (°2θ)	intensity
32.39	100
34.11	76
35.08	86
35.82	76
38.97	37
61.02	41

---

Entry 5:
CaNdInAu: calculated X-ray powder pattern (λ = 1.5418 Å (Cu Kα)), based on the GGA-PBE geometry in Alexandria.
Peak positions follow from Bragg's law for the DFT cell and can differ from measured ones.

Structural model:
a = 3.699 Å, b = 3.699 Å, c = 7.898 Å
α = 90.00°, β = 90.00°, γ = 90.00°
Space group P4mm (No. 99)
Symmetry-distinct sites (fractional):
Ca 0.000 0.000 0.000 (multiplicity 1)
Nd 0.000 0.000 0.462 (multiplicity 1)
In 0.500 0.500 0.732 (multiplicity 1)
Au 0.500 0.500 0.233 (multiplicity 1)

Top 6 peaks for 10 to 90 degrees two-theta, in order of rising 2θ:
Position (°2θ)	intensity
11.20	25
33.18	100
34.28	47
49.26	17
58.57	18
60.69	35

---

Entry 6:
Ce4As5Rh: calculated X-ray powder pattern (λ = 1.5418 Å (Cu Kα)), based on the GGA-PBE geometry in Alexandria.
Peak positions follow from Bragg's law for the DFT cell and can differ from measured ones.

Structural model:
a = 4.1590 Å, b = 4.1590 Å, c = 47.6763 Å
α = 90.00°, β = 90.00°, γ = 120.00°
Space group R-3m (No. 166, hexagonal axes)
Symmetry-distinct sites (fractional):
Ce 0.0000 0.0000 0.1102 (multiplicity 6)
Ce 0.0000 0.0000 0.2969 (multiplicity 6)
As 0.0000 0.0000 0.0000 (multiplicity 3)
As 0.0000 0.0000 0.1881 (multiplicity 6)
As 0.0000 0.0000 0.4068 (multiplicity 6)
Rh 0.0000 0.0000 0.5000 (multiplicity 3)

Top 6 peaks for 10 to 90 degrees two-theta, in order of rising 2θ:
Position (°2θ)	intensity
31.12	100
40.78	21
43.52	50
45.64	16
54.46	22
72.16	18

---

Entry 7:
Ac4TcI6: calculated X-ray powder pattern (λ = 1.5418 Å (Cu Kα)), based on the GGA-PBE geometry in Alexandria.
Peak positions follow from Bragg's law for the DFT cell and can differ from measured ones.

Structural model:
a = 10.694 Å, b = 10.694 Å, c = 8.112 Å
α = 90.00°, β = 90.00°, γ = 90.00°
Space group P4_2/nmc (No. 137, origin choice 2)
Symmetry-distinct sites (fractional):
Ac 0.023 0.750 0.100 (multiplicity 8)
Tc 0.250 0.750 0.250 (multiplicity 2)
I 0.047 0.547 0.750 (multiplicity 8)
I 0.250 0.250 0.138 (multiplicity 4)

Top 6 peaks for 10 to 90 degrees two-theta, in order of rising 2θ:
Position (°2θ)	intensity
19.89	100
27.33	40
28.86	84
32.13	42
32.37	35
33.51	59

---

Entry 8:
Pm2Sm5: calculated X-ray powder pattern (λ = 1.5418 Å (Cu Kα)), based on the GGA-PBE geometry in Alexandria.
Peak positions follow from Bragg's law for the DFT cell and can differ from measured ones.

Structural model:
a = 9.583 Å, b = 6.042 Å, c = 9.253 Å
α = 90.00°, β = 117.68°, γ = 90.00°
Space group C2/m (No. 12)
Symmetry-distinct sites (fractional):
Pm 0.214 0.000 0.143 (multiplicity 4)
Sm 0.000 0.500 0.000 (multiplicity 2)
Sm 0.071 0.000 0.713 (multiplicity 4)
Sm 0.142 0.500 0.428 (multiplicity 4)

Top 6 peaks for 10 to 90 degrees two-theta, in order of rising 2θ:
Position (°2θ)	intensity
29.56	61
31.94	100
42.29	23
53.96	46
58.34	13
69.56	11

---

Entry 9:
Tb2Ag3Hg4: calculated X-ray powder pattern (λ = 1.5418 Å (Cu Kα)), based on the GGA-PBE geometry in Alexandria.
Peak positions follow from Bragg's law for the DFT cell and can differ from measured ones.

Structural model:
a = 8.565 Å, b = 4.961 Å, c = 9.415 Å
α = 90.00°, β = 90.28°, γ = 90.00°
Space group C2/m (No. 12)
Symmetry-distinct sites (fractional):
Tb 0.167 0.000 0.270 (multiplicity 4)
Ag 0.000 0.500 0.500 (multiplicity 2)
Ag 0.167 0.000 0.931 (multiplicity 4)
Hg 0.000 0.500 0.154 (multiplicity 4)
Hg 0.167 0.000 0.601 (multiplicity 4)

Top 6 peaks for 10 to 90 degrees two-theta, in order of rising 2θ:
Position (°2θ)	intensity
35.44	100
36.27	98
51.53	23
64.66	23
64.84	11
65.19	12